Structure and simulated XRD peak list of CaCo8 (a crystal structure in Alexandria, relaxed with GGA-PBE; copper Kα).
Lines closer than 0.1° are merged.

Atomic structure:
Cell: 7.8146 7.8146 3.7272 Å, 90.00 90.00 90.00°
Space group I4/mmm (No. 139)
Unique sites:
Ca  0.0000  0.0000  0.0000
Co  0.0000  0.3515  0.0000
Co  0.1892  0.1892  0.5000

Main lines, low angle first (15° ≤ 2θ ≤ 90°):
hkl 1 1 0, 2θ 16.0, d = 5.526 Å, intensity 12; hkl 3 0 1, 2θ 42.3, d = 2.135 Å, intensity 100; hkl 0 0 2, 2θ 48.9, d = 1.864 Å, intensity 18; hkl 3 3 0, 2θ 49.5, d = 1.842 Å, intensity 27; hkl 4 1 1, 2θ 54.3, d = 1.689 Å, intensity 7; hkl 5 2 1, 2θ 69.5, d = 1.352 Å, intensity 5; hkl 3 3 2, 2θ 72.1, d = 1.310 Å, intensity 16; hkl 6 0 0, 2θ 72.6, d = 1.302 Å, intensity 6; hkl 3 0 3, 2θ 86.9, d = 1.121 Å, intensity 11; hkl 6 3 1, 2θ 87.8, d = 1.112 Å, intensity 13

---

Structure and simulated XRD peak list of CaCo2Cu (a crystal structure in Alexandria, relaxed with GGA-PBE; copper Kα).
Lines closer than 0.1° are merged.

Atomic structure:
Cell: 7.1051 4.1015 5.4643 Å, 90.00 115.53 90.00°
Space group C2/m (No. 12)
Unique sites:
Ca  0.0000  0.0000  0.0000
Co  0.1839  0.0000  0.5517
Cu  0.0000  0.5000  0.5000

Main lines, low angle first (15° ≤ 2θ ≤ 90°):
hkl 0 0 1, 2θ 18.0, d = 4.931 Å, intensity 100; hkl 1 1 1, 2θ 35.0, d = 2.562 Å, intensity 27; hkl 0 0 2, 2θ 36.4, d = 2.465 Å, intensity 36; hkl 2 0 1, 2θ 39.6, d = 2.273 Å, intensity 12; hkl 0 2 0, 2θ 44.2, d = 2.051 Å, intensity 76; hkl 3 1 0, 2θ 48.0, d = 1.894 Å, intensity 45; hkl 3 1 1, 2θ 58.5, d = 1.578 Å, intensity 32; hkl 3 1 -3, 2θ 58.6, d = 1.575 Å, intensity 16; hkl 1 1 3, 2θ 68.7, d = 1.366 Å, intensity 7; hkl 6 0 -2, 2θ 81.2, d = 1.184 Å, intensity 11

---

Structure and simulated XRD peak list of CaDy12Co6 (a crystal structure in Alexandria, relaxed with GGA-PBE; copper Kα).
Lines closer than 0.1° are merged.

Atomic structure:
Cell: 9.8150 9.8150 9.8150 Å, 90.00 90.00 90.00°
Space group Im-3 (No. 204)
Unique sites:
Ca  0.0000  0.0000  0.0000
Dy  0.0000  0.3120  0.1961
Co  0.0000  0.1125  0.5000

Main lines, low angle first (15° ≤ 2θ ≤ 90°):
hkl 3 0 1, 2θ 28.8, d = 3.104 Å, intensity 55; hkl 2 2 2, 2θ 31.6, d = 2.833 Å, intensity 46; hkl 3 1 2, 2θ 34.2, d = 2.623 Å, intensity 100; hkl 4 0 0, 2θ 36.6, d = 2.454 Å, intensity 16; hkl 5 0 1, 2θ 47.2, d = 1.925 Å, intensity 26; hkl 5 3 0, 2θ 54.5, d = 1.683 Å, intensity 38; hkl 5 2 3, 2θ 57.9, d = 1.592 Å, intensity 39; hkl 5 3 4, 2θ 67.5, d = 1.388 Å, intensity 18; hkl 8 2 2, 2θ 83.6, d = 1.157 Å, intensity 16; hkl 7 0 5, 2θ 85.0, d = 1.141 Å, intensity 19